[1]
This entry pairs a crystal structure of RbAcI4 with its simulated PXRD pattern. Radiation: Cu Kα, 1.54184 Å. Structure: a cell relaxed with PBE.
Kinematic intensities with the Lorentz-polarization factor, no thermal factor.

Structural model:
```
data_RbAcI4
_chemical_formula_sum 'Rb2 Ac2 I8'
_symmetry_space_group_name_H-M 'P 1'
_symmetry_Int_Tables_number 1
_cell_length_a 10.584
_cell_length_b 10.584
_cell_length_c 10.584
_cell_angle_alpha 125.26
_cell_angle_beta 116.66
_cell_angle_gamma 88.51
loop_
_symmetry_equiv_pos_as_xyz
'x,y,z'
loop_
_atom_site_label
_atom_site_type_symbol
_atom_site_fract_x
_atom_site_fract_y
_atom_site_fract_z
_atom_site_occupancy
Rb1 Rb 0.000 0.000 0.000 1
Rb2 Rb 0.500 0.000 0.500 1
Ac1 Ac 0.500 0.000 0.000 1
Ac2 Ac 0.500 0.500 0.500 1
I1 I 0.288 0.283 0.496 1
I2 I 0.288 0.792 0.004 1
I3 I 0.294 0.749 0.546 1
I4 I 0.297 0.251 0.046 1
I5 I 0.703 0.749 0.954 1
I6 I 0.706 0.251 0.454 1
I7 I 0.712 0.208 0.996 1
I8 I 0.712 0.717 0.504 1
```

Most intense lines, 2θ = 15–90°, low angle first:
4.276 Å, intensity 21; 3.790 Å, intensity 46; 3.661 Å, intensity 100; 2.925 Å, intensity 26; 2.894 Å, intensity 41; 2.779 Å, intensity 18; 2.633 Å, intensity 64; 2.507 Å, intensity 18; 2.433 Å, intensity 18; 2.114 Å, intensity 31; 2.047 Å, intensity 17; 1.870 Å, intensity 16

---

[2]
This entry pairs a crystal structure of BaNaH6Ir with its simulated PXRD pattern. Radiation: Cu Kα, 1.54184 Å. Structure: a cell relaxed with PBE.
Kinematic intensities with the Lorentz-polarization factor, no thermal factor.

Structural model:
```
data_BaNaH6Ir
_chemical_formula_sum 'Ba1 Na1 H6 Ir1'
_symmetry_space_group_name_H-M 'P 1'
_symmetry_Int_Tables_number 1
_cell_length_a 5.502
_cell_length_b 5.502
_cell_length_c 5.502
_cell_angle_alpha 60.00
_cell_angle_beta 60.00
_cell_angle_gamma 60.00
loop_
_symmetry_equiv_pos_as_xyz
'x,y,z'
loop_
_atom_site_label
_atom_site_type_symbol
_atom_site_fract_x
_atom_site_fract_y
_atom_site_fract_z
_atom_site_occupancy
Ba1 Ba 0.000 0.000 0.000 1
Na1 Na 0.500 0.500 0.500 1
H1 H 0.033 0.033 0.467 1
H2 H 0.033 0.467 0.033 1
H3 H 0.033 0.467 0.467 1
H4 H 0.467 0.033 0.033 1
H5 H 0.467 0.033 0.467 1
H6 H 0.467 0.467 0.033 1
Ir1 Ir 0.250 0.250 0.250 1
```

Most intense lines, 2θ = 15–90°, low angle first:
4.492 Å, intensity 93; 2.751 Å, intensity 100; 2.346 Å, intensity 51; 1.945 Å, intensity 19; 1.785 Å, intensity 22; 1.588 Å, intensity 38; 1.497 Å, intensity 17; 1.375 Å, intensity 12; 1.315 Å, intensity 17; 1.230 Å, intensity 17; 1.187 Å, intensity 6; 1.123 Å, intensity 4